Entry 1:
Simulated X-ray powder pattern
Compound: Ta2NbSi2
Radiation: Cu Kα, 1.54184 Å
Structure: a DFT-relaxed cell (PBE, Alexandria)
Intensities are scaled so that the largest is 100.

Most intense lines, 10 to 80 degrees two-theta, low angle first:
- 25.3°, 3.515 Å, I = 17, hkl 0 0 1
- 29.7°, 3.012 Å, I = 56, hkl 2 1 0
- 31.6°, 2.828 Å, I = 22, hkl 1 1 1
- 37.0°, 2.432 Å, I = 51, hkl 2 0 1
- 39.4°, 2.287 Å, I = 100, hkl 2 1 1
- 42.4°, 2.130 Å, I = 38, hkl 3 1 0
- 61.0°, 1.518 Å, I = 21, hkl 2 1 2
- 62.7°, 1.482 Å, I = 23, hkl 4 1 1
- 64.4°, 1.447 Å, I = 22, hkl 3 3 1
- 69.3°, 1.356 Å, I = 18, hkl 3 1 2

Crystal structure
```
data_Ta2NbSi2
_cell_length_a 6.736
_cell_length_b 6.736
_cell_length_c 3.515
_cell_angle_alpha 90.00
_cell_angle_beta 90.00
_cell_angle_gamma 90.00
_symmetry_space_group_name_H-M 'P 4/m b m'
_symmetry_Int_Tables_number 127
_symmetry_space_group_name_Hall '-P 4 2ab'
loop_
_atom_site_label
_atom_site_type_symbol
_atom_site_fract_x
_atom_site_fract_y
_atom_site_fract_z
Ta1 Ta 0.170 0.330 0.000
Nb1 Nb 0.000 0.000 0.500
Si1 Si 0.128 0.628 0.500
```


Entry 2:
Simulated X-ray powder pattern
Compound: ErAl2Ag2
Radiation: Cu Kα, 1.54184 Å
Structure: a DFT-relaxed cell (PBE, Alexandria)
Intensities are scaled so that the largest is 100.

Most intense lines, 10 to 80 degrees two-theta, low angle first:
- 20.8°, 4.263 Å, I = 100, hkl 0 2 2
- 26.3°, 3.394 Å, I = 85, hkl 1 1 3
- 33.6°, 2.666 Å, I = 78, hkl 0 4 0
- 35.1°, 2.553 Å, I = 65, hkl 2 0 2
- 35.6°, 2.522 Å, I = 59, hkl 1 3 3
- 36.6°, 2.453 Å, I = 100, hkl 1 1 5
- 36.9°, 2.435 Å, I = 82, hkl 2 2 0
- 44.0°, 2.056 Å, I = 77, hkl 1 3 5
- 49.4°, 1.844 Å, I = 40, hkl 2 4 2
- 72.5°, 1.303 Å, I = 24, hkl 1 7 5

Crystal structure
```
data_ErAl2Ag2
_cell_length_a 5.473
_cell_length_b 10.664
_cell_length_c 14.196
_cell_angle_alpha 90.00
_cell_angle_beta 90.00
_cell_angle_gamma 90.00
_symmetry_space_group_name_H-M 'F d d d'
_symmetry_Int_Tables_number 70
loop_
_symmetry_equiv_pos_as_xyz
'x,y,z'
'-x,-y,-z'
'-x+1/4,-y+1/4,z'
'x+1/4,y+1/4,-z'
'x,-y+1/4,-z+1/4'
'-x,y+1/4,z+1/4'
'-x+1/4,y,-z+1/4'
'x+1/4,-y,z+1/4'
'x,y+1/2,z+1/2'
'-x,-y+1/2,-z+1/2'
'-x+1/4,-y+3/4,z+1/2'
'x+1/4,y+3/4,-z+1/2'
'x,-y+3/4,-z+3/4'
'-x,y+3/4,z+3/4'
'-x+1/4,y+1/2,-z+3/4'
'x+1/4,-y+1/2,z+3/4'
'x+1/2,y,z+1/2'
'-x+1/2,-y,-z+1/2'
'-x+3/4,-y+1/4,z+1/2'
'x+3/4,y+1/4,-z+1/2'
'x+1/2,-y+1/4,-z+3/4'
'-x+1/2,y+1/4,z+3/4'
'-x+3/4,y,-z+3/4'
'x+3/4,-y,z+3/4'
'x+1/2,y+1/2,z'
'-x+1/2,-y+1/2,-z'
'-x+3/4,-y+3/4,z'
'x+3/4,y+3/4,-z'
'x+1/2,-y+3/4,-z+1/4'
'-x+1/2,y+3/4,z+1/4'
'-x+3/4,y+1/2,-z+1/4'
'x+3/4,-y+1/2,z+1/4'
loop_
_atom_site_label
_atom_site_type_symbol
_atom_site_fract_x
_atom_site_fract_y
_atom_site_fract_z
Er1 Er 0.125 0.125 0.125
Al1 Al 0.125 0.332 0.625
Ag1 Ag 0.125 0.125 0.524
```


Entry 3:
Simulated X-ray powder pattern
Compound: K2Np3GeS8
Radiation: Cu Kα, 1.54184 Å
Structure: a DFT-relaxed cell (PBE, Alexandria)
Intensities are scaled so that the largest is 100.

Most intense lines, 10 to 80 degrees two-theta, low angle first:
- 11.5°, 7.722 Å, I = 100, hkl 0 0 3
- 23.1°, 3.856 Å, I = 28, hkl 0 0 6
- 25.1°, 3.554 Å, I = 23, hkl 1 1 3
- 26.0°, 3.429 Å, I = 47, hkl 0 2 1
- 26.8°, 3.322 Å, I = 21, hkl 2 0 2
- 30.0°, 2.975 Å, I = 49, hkl 0 2 4
- 37.6°, 2.394 Å, I = 29, hkl 0 2 7
- 40.6°, 2.223 Å, I = 25, hkl 2 0 8
- 45.3°, 2.002 Å, I = 26, hkl 2 2 0
- 46.9°, 1.938 Å, I = 19, hkl 2 2 3

Crystal structure
```
data_K2Np3GeS8
_cell_length_a 8.0074
_cell_length_b 8.0074
_cell_length_c 23.1675
_cell_angle_alpha 90.00
_cell_angle_beta 90.00
_cell_angle_gamma 120.00
_symmetry_space_group_name_H-M 'R 3 m'
_symmetry_Int_Tables_number 160
_symmetry_space_group_name_Hall 'R 3 -2"'
loop_
_atom_site_label
_atom_site_type_symbol
_atom_site_fract_x
_atom_site_fract_y
_atom_site_fract_z
K1 K 0.0000 0.0000 0.0000
K2 K 0.0000 0.0000 0.3647
Np1 Np 0.0046 0.5023 0.8651
Ge1 Ge 0.0000 0.0000 0.7614
S1 S 0.0000 0.0000 0.1354
S2 S 0.0000 0.0000 0.5889
S3 S 0.1694 0.3387 0.4690
S4 S 0.1829 0.3658 0.9262
```


Entry 4:
Simulated X-ray powder pattern
Compound: Tl12BiSb7
Radiation: Cu Kα, 1.54184 Å
Structure: a DFT-relaxed cell (PBE, Alexandria)
Intensities are scaled so that the largest is 100.

Most intense lines, 10 to 80 degrees two-theta, low angle first:
- 24.6°, 3.617 Å, I = 53, hkl 4 -3 1
- 26.8°, 3.322 Å, I = 40, hkl 4 0 1
- 28.1°, 3.176 Å, I = 29, hkl 1 4 0
- 28.9°, 3.089 Å, I = 71, hkl 5 -2 1
- 31.2°, 2.867 Å, I = 100, hkl 3 1 2
- 33.0°, 2.714 Å, I = 43, hkl 0 0 3
- 34.7°, 2.583 Å, I = 32, hkl 1 1 3
- 38.6°, 2.331 Å, I = 42, hkl 2 5 0
- 58.7°, 1.572 Å, I = 28, hkl 8 -1 3
- 61.9°, 1.500 Å, I = 22, hkl 6 5 1

Crystal structure
```
data_Tl12BiSb7
_cell_length_a 16.8058
_cell_length_b 16.8058
_cell_length_c 8.1449
_cell_angle_alpha 90.00
_cell_angle_beta 90.00
_cell_angle_gamma 120.00
_symmetry_space_group_name_H-M 'R -3'
_symmetry_Int_Tables_number 148
_symmetry_space_group_name_Hall '-R 3'
loop_
_atom_site_label
_atom_site_type_symbol
_atom_site_fract_x
_atom_site_fract_y
_atom_site_fract_z
Tl1 Tl 0.0415 0.7600 0.4648
Tl2 Tl 0.0695 0.2336 0.8734
Bi1 Bi 0.0000 0.0000 0.5000
Sb1 Sb 0.0000 0.0000 0.0000
Sb2 Sb 0.0478 0.1665 0.2517
```


Entry 5:
Simulated X-ray powder pattern
Compound: Ac3CeRu2N6
Radiation: Cu Kα, 1.54184 Å
Structure: a DFT-relaxed cell (PBE, Alexandria)
Intensities are scaled so that the largest is 100.

Most intense lines, 10 to 80 degrees two-theta, low angle first:
- 21.3°, 4.171 Å, I = 17, hkl 1 0 1
- 29.3°, 3.044 Å, I = 100, hkl 1 1 0
- 31.3°, 2.862 Å, I = 86, hkl 0 1 2
- 43.4°, 2.085 Å, I = 42, hkl 2 0 2
- 52.0°, 1.758 Å, I = 21, hkl 3 0 0
- 53.2°, 1.720 Å, I = 39, hkl 1 2 2
- 56.8°, 1.621 Å, I = 16, hkl 1 0 4
- 60.9°, 1.522 Å, I = 15, hkl 2 2 0
- 70.0°, 1.344 Å, I = 18, hkl 3 1 2
- 73.1°, 1.295 Å, I = 17, hkl 2 1 4

Crystal structure
```
data_Ac3CeRu2N6
_cell_length_a 6.0888
_cell_length_b 6.0888
_cell_length_c 6.8157
_cell_angle_alpha 90.00
_cell_angle_beta 90.00
_cell_angle_gamma 120.00
_symmetry_space_group_name_H-M 'P -3 m 1'
_symmetry_Int_Tables_number 164
_symmetry_space_group_name_Hall '-P 3 2"'
loop_
_atom_site_label
_atom_site_type_symbol
_atom_site_fract_x
_atom_site_fract_y
_atom_site_fract_z
Ac1 Ac 0.0000 0.0000 0.0000
Ac2 Ac 0.3333 0.6667 0.6686
Ce1 Ce 0.0000 0.0000 0.5000
Ru1 Ru 0.3333 0.6667 0.1767
N1 N 0.1732 0.3465 0.2933
```


Entry 6:
Simulated X-ray powder pattern
Compound: NaCaPbCl5
Radiation: Cu Kα, 1.54184 Å
Structure: a DFT-relaxed cell (PBE, Alexandria)
Intensities are scaled so that the largest is 100.

Most intense lines, 10 to 80 degrees two-theta, low angle first:
- 13.3°, 6.634 Å, I = 100, hkl 1 1 -1
- 17.3°, 5.125 Å, I = 90, hkl 0 2 1
- 19.6°, 4.540 Å, I = 73, hkl 1 1 -2
- 22.1°, 4.017 Å, I = 50, hkl 2 0 0
- 22.7°, 3.914 Å, I = 36, hkl 2 0 -2
- 28.1°, 3.172 Å, I = 79, hkl 1 1 -3
- 31.4°, 2.847 Å, I = 61, hkl 3 1 -1
- 35.0°, 2.563 Å, I = 49, hkl 0 4 2
- 40.0°, 2.253 Å, I = 42, hkl 3 3 0
- 46.4°, 1.957 Å, I = 39, hkl 4 0 -4

Crystal structure
```
data_NaCaPbCl5
_cell_length_a 8.848
_cell_length_b 12.503
_cell_length_c 9.858
_cell_angle_alpha 90.00
_cell_angle_beta 114.77
_cell_angle_gamma 90.00
_symmetry_space_group_name_H-M 'C 1 2/c 1'
_symmetry_Int_Tables_number 15
_symmetry_space_group_name_Hall '-C 2yc'
loop_
_atom_site_label
_atom_site_type_symbol
_atom_site_fract_x
_atom_site_fract_y
_atom_site_fract_z
Na1 Na 0.000 0.180 0.250
Ca1 Ca 0.000 0.500 0.000
Pb1 Pb 0.000 0.139 0.750
Cl1 Cl 0.000 0.391 0.750
Cl2 Cl 0.148 0.317 0.148
Cl3 Cl 0.168 0.035 0.449
```


Entry 7:
Simulated X-ray powder pattern
Compound: YbBiAu
Radiation: Cu Kα, 1.54184 Å
Structure: a DFT-relaxed cell (PBE, Alexandria)
Intensities are scaled so that the largest is 100.

Most intense lines, 10 to 80 degrees two-theta, low angle first:
- 24.1°, 3.692 Å, I = 26, hkl 1 0 1
- 31.2°, 2.862 Å, I = 98, hkl 1 0 2
- 37.2°, 2.415 Å, I = 100, hkl 1 1 0
- 40.7°, 2.218 Å, I = 44, hkl 1 0 3
- 49.4°, 1.846 Å, I = 28, hkl 2 0 2
- 56.3°, 1.634 Å, I = 17, hkl 2 0 3
- 63.3°, 1.470 Å, I = 16, hkl 1 0 5
- 63.4°, 1.467 Å, I = 27, hkl 2 1 2
- 67.1°, 1.394 Å, I = 18, hkl 3 0 0
- 69.5°, 1.353 Å, I = 19, hkl 2 1 3

Crystal structure
```
data_YbBiAu
_cell_length_a 4.8302
_cell_length_b 4.8302
_cell_length_c 7.8502
_cell_angle_alpha 90.00
_cell_angle_beta 90.00
_cell_angle_gamma 120.00
_symmetry_space_group_name_H-M 'P 63 m c'
_symmetry_Int_Tables_number 186
_symmetry_space_group_name_Hall 'P 6c -2c'
loop_
_atom_site_label
_atom_site_type_symbol
_atom_site_fract_x
_atom_site_fract_y
_atom_site_fract_z
Yb1 Yb 0.0000 0.0000 0.0000
Bi1 Bi 0.3333 0.6667 0.2751
Au1 Au 0.3333 0.6667 0.6641
```


Entry 8:
Simulated X-ray powder pattern
Compound: Nd2ErTm12
Radiation: Cu Kα, 1.54184 Å
Structure: a DFT-relaxed cell (PBE, Alexandria)
Intensities are scaled so that the largest is 100.

Most intense lines, 10 to 80 degrees two-theta, low angle first:
- 30.0°, 2.976 Å, I = 22, hkl 0 0 8
- 30.9°, 2.898 Å, I = 62, hkl 0 1 7
- 31.4°, 2.850 Å, I = 100, hkl 1 1 -3
- 32.3°, 2.773 Å, I = 80, hkl 0 2 0
- 32.7°, 2.741 Å, I = 49, hkl 1 0 5
- 34.2°, 2.621 Å, I = 43, hkl 0 1 8
- 34.5°, 2.601 Å, I = 55, hkl 1 1 4
- 46.6°, 1.950 Å, I = 30, hkl 1 2 5
- 51.6°, 1.773 Å, I = 22, hkl 2 0 -1
- 62.1°, 1.494 Å, I = 25, hkl 2 2 -1

Crystal structure
```
data_Nd2ErTm12
_cell_length_a 3.546
_cell_length_b 5.545
_cell_length_c 23.856
_cell_angle_alpha 90.00
_cell_angle_beta 94.24
_cell_angle_gamma 90.00
_symmetry_space_group_name_H-M 'P 1 2/m 1'
_symmetry_Int_Tables_number 10
_symmetry_space_group_name_Hall '-P 2y'
loop_
_atom_site_label
_atom_site_type_symbol
_atom_site_fract_x
_atom_site_fract_y
_atom_site_fract_z
Nd1 Nd 0.142 0.000 0.280
Er1 Er 0.500 0.000 0.000
Tm1 Tm 0.032 0.500 0.066
Tm2 Tm 0.066 0.000 0.133
Tm3 Tm 0.223 0.500 0.445
Tm4 Tm 0.285 0.000 0.571
Tm5 Tm 0.333 0.500 0.670
Tm6 Tm 0.405 0.500 0.809
```